Diffraction record for Fe2CuP3O12. The X-ray powder pattern is simulated, not measured: it uses a cell relaxed with PBE+U and Cu Kα (λ = 1.5418 Å).

Cell and atoms:
abc: 8.6182 8.6182 20.6991
angles: 90.00 90.00 120.00
Space group R-3c (No. 167, hexagonal axes)
One atom of each set of equivalent atoms:
Fe  0.0000  0.0000  0.1443 x12
Cu  0.0000  0.0000  0.0000 x6
P  0.0000  0.2959  0.2500 x18
O  0.0086  0.2019  0.3111 x36
O  0.0152  0.1799  0.9249 x36

Main lines, sorted by position (2θ = 5–70°):
- 2θ 20.6, intensity 100, (1 1 0)
- 2θ 24.4, intensity 99, (1 1 3)
- 2θ 33.3, intensity 81, (1 1 6)
- 2θ 36.1, intensity 45, (3 0 0)
- 2θ 47.7, intensity 35, (1 2 8)
- 2θ 49.9, intensity 31, (2 2 6)
- 2θ 56.5, intensity 26, (4 1 0)
- 2θ 63.1, intensity 25, (4 1 6)

=====

Diffraction record for Hf3MnF6. The X-ray powder pattern is simulated, not measured: it uses a cell relaxed with PBE+U and Cu Kα (λ = 1.5418 Å).

Cell and atoms:
abc: 5.9817 6.1042 12.8095
angles: 84.58 81.21 64.39
Space group P-1 (No. 2)
One atom of each set of equivalent atoms:
Hf  0.0000  0.0000  0.0000 x1
Hf  0.0000  0.5000  0.5000 x1
Hf  0.5000  0.0000  0.5000 x1
Mn  0.0000  0.0000  0.5000 x1
F  0.0112  0.9449  0.8544 x2
F  0.1839  0.5684  0.5968 x2
F  0.3907  0.9595  0.6480 x2

Main lines, sorted by position (2θ = 5–70°):
- 2θ 7.0, intensity 95, (0 0 1)
- 2θ 14.0, intensity 100, (0 0 2)
- 2θ 16.1, intensity 17, (0 1 0)
- 2θ 17.9, intensity 44, (1 1 1)
- 2θ 19.8, intensity 36, (1 1 -1)
- 2θ 28.2, intensity 31, (1 -1 1)
- 2θ 32.6, intensity 18, (0 2 0)
- 2θ 36.0, intensity 16, (0 2 -2)

=====

Diffraction record for K2V3P2O13F2. The X-ray powder pattern is simulated, not measured: it uses a cell relaxed with PBE+U and Cu Kα (λ = 1.5418 Å).

Cell and atoms:
abc: 7.2909 8.8821 10.4706
angles: 104.77 99.36 90.96
Space group P-1 (No. 2)
One atom of each set of equivalent atoms:
K  0.1287  0.4541  0.2071 x2
K  0.1954  0.8730  0.2015 x2
V  0.0303  0.2291  0.4576 x2
V  0.3322  0.3496  0.9294 x2
V  0.4467  0.2448  0.4528 x2
P  0.2854  0.5398  0.6545 x2
P  0.2967  0.0495  0.6498 x2
O  0.0409  0.7372  0.3979 x2
O  0.1024  0.3362  0.9247 x2
O  0.1168  0.9637  0.6565 x2
O  0.1176  0.6397  0.6407 x2
O  0.2570  0.3995  0.5203 x2
O  0.2649  0.1048  0.5158 x2
O  0.2882  0.9345  0.9629 x2
O  0.3048  0.4870  0.7800 x2
O  0.3658  0.1847  0.7700 x2
O  0.4071  0.7071  0.4080 x2
O  0.4128  0.2442  0.0337 x2
O  0.4630  0.9391  0.6389 x2
O  0.4703  0.6310  0.6466 x2
F  0.2002  0.1927  0.3083 x2
F  0.3707  0.5554  0.0593 x2

Main lines, sorted by position (2θ = 5–70°):
- 2θ 8.9, intensity 100, (0 0 1)
- 2θ 18.1, intensity 27, (0 1 -2)
- 2θ 27.5, intensity 35, (1 -2 2)
- 2θ 27.8, intensity 25, (2 0 1)
- 2θ 28.9, intensity 21, (1 2 1)
- 2θ 29.4, intensity 22, (0 2 -3)
- 2θ 31.5, intensity 18, (2 -2 0)
- 2θ 33.1, intensity 20, (2 2 -2)